[1]
BaVClO3: computed XRD peak list (Cu Kα X-rays), based on a cell relaxed with GGA+U.
No peak broadening, texture or thermal motion is included.

Most intense lines, 2θ from 15° to 90°, by angle:
two_theta, I (rel.), (hkl)
22.01, 73, 1 1 1
23.58, 100, 0 0 2
25.04, 54, 1 0 2
26.40, 47, 2 1 1
27.77, 89, 3 0 1
30.18, 81, 1 1 2
32.51, 83, 3 1 1
33.50, 61, 0 2 0
42.28, 50, 1 2 2
43.23, 47, 2 1 3
44.05, 57, 3 2 1
49.84, 43, 4 0 3

Atomic structure:
```
BaVClO3
1.0
10.6534 0.0000 0.0000
0.0000 5.3494 0.0000
0.0000 0.0000 7.5438
Ba V Cl O
4 4 4 12
Direct
0.1931 0.2500 0.0981 Ba
0.3069 0.7500 0.5981 Ba
0.6931 0.2500 0.4019 Ba
0.8069 0.7500 0.9019 Ba
0.0393 0.2500 0.5520 V
0.4607 0.7500 0.0520 V
0.5393 0.2500 0.9480 V
0.9607 0.7500 0.4480 V
0.1060 0.7500 0.9265 Cl
0.3940 0.2500 0.4265 Cl
0.6060 0.7500 0.5735 Cl
0.8940 0.2500 0.0735 Cl
0.0935 0.5064 0.4060 O
0.0935 0.9936 0.4060 O
0.1407 0.2500 0.7177 O
0.3593 0.7500 0.2177 O
0.4065 0.0064 0.9060 O
0.4065 0.4936 0.9060 O
0.5935 0.5064 0.0940 O
0.5935 0.9936 0.0940 O
0.6407 0.2500 0.7823 O
0.8593 0.7500 0.2823 O
0.9065 0.0064 0.5940 O
0.9065 0.4936 0.5940 O
```

=====

[2]
Ba2ErCoCu2O7: computed XRD peak list (Cu Kα X-rays), based on a cell relaxed with GGA+U.
No peak broadening, texture or thermal motion is included.

Most intense lines, 2θ from 15° to 90°, by angle:
two_theta, I (rel.), (hkl)
22.64, 15, 0 1 0
32.23, 46, 0 1 3
32.50, 100, 1 0 3
38.15, 9, 0 1 4
39.97, 17, 1 1 3
46.14, 8, 0 0 6
46.30, 15, 0 2 0
47.03, 15, 2 0 0
57.64, 35, 1 2 3
58.16, 17, 2 1 3
68.13, 9, 2 2 0
78.07, 8, 3 1 0

Atomic structure:
```
Ba2ErCoCu2O7
1.0
3.8646 0.0000 0.0000
0.0000 3.9221 0.0000
0.0000 0.0000 11.8034
Ba Er Co Cu O
2 1 1 2 7
Direct
0.0000 0.0000 0.1846 Ba
0.0000 0.0000 0.8154 Ba
0.0000 0.0000 0.5000 Er
0.5000 0.5000 0.0000 Co
0.5000 0.5000 0.3599 Cu
0.5000 0.5000 0.6401 Cu
0.0000 0.5000 0.3801 O
0.0000 0.5000 0.6199 O
0.5000 0.0000 0.0000 O
0.5000 0.0000 0.3800 O
0.5000 0.0000 0.6200 O
0.5000 0.5000 0.1533 O
0.5000 0.5000 0.8467 O
```

=====

[3]
Ba2HoCoCu2O7: computed XRD peak list (Cu Kα X-rays), based on a cell relaxed with GGA+U.
No peak broadening, texture or thermal motion is included.

Most intense lines, 2θ from 15° to 90°, by angle:
two_theta, I (rel.), (hkl)
32.24, 91, 0 1 3
32.52, 100, 1 0 3
32.63, 98, 1 1 0
38.13, 18, 0 1 4
40.04, 33, 1 1 3
46.07, 16, 0 0 6
46.41, 29, 0 2 0
47.23, 28, 2 0 0
57.59, 31, 1 1 6
57.81, 38, 1 2 3
58.34, 33, 2 1 3
68.37, 17, 2 2 0

Atomic structure:
```
Ba2HoCoCu2O7
1.0
3.8493 0.0000 0.0000
0.0000 3.9132 0.0000
0.0000 0.0000 11.8216
Ba Ho Co Cu O
2 1 1 2 7
Direct
0.0000 0.0000 0.1844 Ba
0.0000 0.0000 0.8156 Ba
0.0000 0.0000 0.5000 Ho
0.5000 0.5000 0.0000 Co
0.5000 0.5000 0.3595 Cu
0.5000 0.5000 0.6405 Cu
0.0000 0.5000 0.3793 O
0.0000 0.5000 0.6207 O
0.5000 0.0000 0.0000 O
0.5000 0.0000 0.3792 O
0.5000 0.0000 0.6208 O
0.5000 0.5000 0.1531 O
0.5000 0.5000 0.8469 O
```

=====

[4]
Ba2LiSmCoCu2O7: computed XRD peak list (Cu Kα X-rays), based on a cell relaxed with GGA+U.
No peak broadening, texture or thermal motion is included.

Most intense lines, 2θ from 15° to 90°, by angle:
two_theta, I (rel.), (hkl)
30.73, 67, 0 1 3
31.45, 70, 1 0 3
32.06, 100, 1 1 0
36.18, 43, 0 1 4
36.80, 39, 1 0 4
38.73, 26, 1 1 3
44.93, 33, 0 2 0
47.00, 29, 2 0 0
55.87, 28, 1 2 3
57.20, 23, 2 1 3
59.43, 19, 1 2 4
61.27, 26, 1 1 7

Atomic structure:
```
Ba2LiSmCoCu2O7
1.0
3.8670 0.0000 0.0000
0.0000 4.0347 0.0000
0.0000 0.0000 12.5997
Ba Li Sm Co Cu O
2 1 1 1 2 7
Direct
0.0000 0.0000 0.0000 Ba
0.0000 0.0000 0.4229 Ba
0.0000 0.5000 0.1603 Li
0.0000 0.0000 0.7165 Sm
0.5000 0.5000 0.2592 Co
0.5000 0.5000 0.5932 Cu
0.5000 0.5000 0.8445 Cu
0.0000 0.5000 0.6126 O
0.0000 0.5000 0.8529 O
0.5000 0.0000 0.2550 O
0.5000 0.0000 0.6053 O
0.5000 0.0000 0.8464 O
0.5000 0.5000 0.1068 O
0.5000 0.5000 0.4010 O
```